For SnH7Cl3O4, a structure optimized by DFT (PBE) gives the calculated powder XRD pattern in this record (Cu Kα (weighted mean of Kα1 and Kα2)).
No peak broadening, texture or thermal motion is included.

Structural model:
Cell lengths 9.9545, 6.5358, 15.6736 Å; angles 90.00, 125.49, 90.00 degrees
Space group P2_1/c (No. 14)
Asymmetric unit:
1 Sn 0.1733 0.0328 0.0031 (multiplicity 4)
2 H 0.0983 0.7062 0.0853 (multiplicity 4)
3 H 0.1088 0.0025 0.7014 (multiplicity 4)
4 H 0.2447 0.2189 0.6686 (multiplicity 4)
5 H 0.2772 0.5985 0.2410 (multiplicity 4)
6 H 0.2980 0.6042 0.8368 (multiplicity 4)
7 H 0.3111 0.0496 0.2172 (multiplicity 4)
8 H 0.4790 0.6211 0.8714 (multiplicity 4)
9 Cl 0.0432 0.6027 0.3270 (multiplicity 4)
10 Cl 0.2612 0.1499 0.4698 (multiplicity 4)
11 Cl 0.4217 0.6573 0.5764 (multiplicity 4)
12 O 0.0445 0.6809 0.5325 (multiplicity 4)
13 O 0.1868 0.5162 0.1829 (multiplicity 4)
14 O 0.2896 0.1494 0.1614 (multiplicity 4)
15 O 0.3630 0.6282 0.8093 (multiplicity 4)

Largest 12 diffraction maxima, most intense first, 2θ = 10–80°:
(hkl)	d [Å]	I/Imax
0 1 1	5.817	100
0 0 2	6.381	67
1 0 0	8.106	26
3 1 -3	2.953	25
1 1 -1	5.460	24
0 1 3	3.565	19
3 0 -2	3.262	19
2 0 -2	4.965	19
3 2 -2	2.308	18
1 0 -2	7.596	17
2 2 -3	2.650	15
1 1 -5	2.712	15